Record 1
The following is a theoretical PXRD pattern of SiNi4Ge. It was derived from DFT lattice parameters and positions (GGA-PBE), using Cu Kα X-rays.

Crystal structure
Lattice parameters (Å, degrees): 3.4779 3.4779 5.9849 90.00 90.00 90.00
Space group P4mm (No. 99)
Unique sites:
Si: 0.0000 0.0000 0.0000 (multiplicity 1)
Ni: 0.0000 0.0000 0.6263 (multiplicity 1)
Ni: 0.0000 0.5000 0.2519 (multiplicity 2)
Ni: 0.5000 0.5000 0.9115 (multiplicity 1)
Ge: 0.5000 0.5000 0.5255 (multiplicity 1)

Principal peaks in the range 5° ≤ 2θ ≤ 70°, most intense first:
| h k l | two_theta | I (rel.) |
| --- | --- | --- |
| 1 1 1 | 39.62 | 1000 |
| 1 1 2 | 47.88 | 752 |
| 2 0 0 | 52.63 | 547 |
| 1 0 2 | 39.74 | 298 |
| 0 0 3 | 45.47 | 245 |
| 1 0 3 | 52.91 | 206 |
| 0 0 1 | 14.80 | 153 |
| 1 1 0 | 36.54 | 133 |
| 2 1 2 | 67.92 | 109 |
| 1 0 0 | 25.61 | 66 |

Record 2
The following is a theoretical PXRD pattern of NdYZr2Sb2. It was derived from DFT lattice parameters and positions (GGA-PBE), using Cu Kα X-rays.

Crystal structure
Lattice parameters (Å, degrees): 4.3143 4.3143 16.8770 90.00 90.00 90.00
Space group I4mm (No. 107)
Unique sites:
Nd: 0.0000 0.0000 0.0000 (multiplicity 2)
Y: 0.0000 0.0000 0.6464 (multiplicity 2)
Zr: 0.0000 0.5000 0.3211 (multiplicity 4)
Sb: 0.0000 0.0000 0.1915 (multiplicity 2)
Sb: 0.0000 0.0000 0.4516 (multiplicity 2)

Principal peaks in the range 5° ≤ 2θ ≤ 70°, most intense first:
| h k l | two_theta | I (rel.) |
| --- | --- | --- |
| 1 1 4 | 36.34 | 1000 |
| 1 1 2 | 31.17 | 767 |
| 2 0 0 | 41.88 | 615 |
| 1 0 5 | 33.71 | 525 |
| 1 1 0 | 29.28 | 314 |
| 0 0 6 | 31.81 | 304 |
| 2 0 6 | 53.53 | 272 |
| 2 1 5 | 54.80 | 258 |
| 2 2 0 | 60.72 | 201 |
| 1 0 11 | 64.46 | 149 |

Record 3
The following is a theoretical PXRD pattern of Nd2CuGe4Pd. It was derived from DFT lattice parameters and positions (GGA-PBE), using Cu Kα X-rays.

Crystal structure
Lattice parameters (Å, degrees): 4.3414 4.2982 17.4260 90.00 90.00 90.00
Space group Amm2 (No. 38)
Unique sites:
Nd: 0.0000 0.0000 0.0000 (multiplicity 2)
Nd: 0.5000 0.0000 0.2109 (multiplicity 2)
Cu: 0.5000 0.0000 0.4342 (multiplicity 2)
Ge: 0.0000 0.0000 0.3610 (multiplicity 2)
Ge: 0.0000 0.0000 0.6445 (multiplicity 2)
Ge: 0.5000 0.0000 0.5704 (multiplicity 2)
Ge: 0.5000 0.0000 0.8603 (multiplicity 2)
Pd: 0.0000 0.0000 0.7860 (multiplicity 2)

Principal peaks in the range 5° ≤ 2θ ≤ 70°, most intense first:
| h k l | two_theta | I (rel.) |
| --- | --- | --- |
| 1 1 3 | 33.12 | 1000 |
| 2 0 0 | 41.60 | 228 |
| 0 2 0 | 42.04 | 221 |
| 1 0 6 | 37.25 | 191 |
| 1 1 1 | 29.69 | 190 |
| 2 1 5 | 54.16 | 161 |
| 2 2 0 | 60.63 | 147 |
| 1 0 8 | 46.65 | 127 |
| 1 2 6 | 57.41 | 108 |
| 0 1 9 | 51.79 | 99 |

Record 4
The following is a theoretical PXRD pattern of GdErH2I4. It was derived from DFT lattice parameters and positions (GGA-PBE), using Cu Kα X-rays.

Crystal structure
Lattice parameters (Å, degrees): 3.9932 3.9932 16.5646 90.00 90.00 120.00
Space group P-6m2 (No. 187)
Unique sites:
Gd: 0.0000 0.0000 0.0000 (multiplicity 1)
Er: 0.0000 0.0000 0.5000 (multiplicity 1)
H: 0.3333 0.6667 0.5000 (multiplicity 1)
H: 0.6667 0.3333 0.0000 (multiplicity 1)
I: 0.3333 0.6667 0.1293 (multiplicity 2)
I: 0.6667 0.3333 0.3740 (multiplicity 2)

Principal peaks in the range 5° ≤ 2θ ≤ 70°, most intense first:
| h k l | two_theta | I (rel.) |
| --- | --- | --- |
| 1 0 4 | 33.77 | 1000 |
| 0 0 2 | 10.68 | 724 |
| 1 0 2 | 27.96 | 541 |
| 1 0 1 | 26.33 | 533 |
| 1 1 0 | 45.43 | 456 |
| 1 0 3 | 30.50 | 429 |
| 1 1 8 | 64.88 | 308 |
| 2 0 4 | 57.78 | 213 |
| 1 0 5 | 37.60 | 184 |
| 0 0 8 | 43.72 | 167 |

Record 5
The following is a theoretical PXRD pattern of NaSi5Pt3. It was derived from DFT lattice parameters and positions (GGA-PBE), using Cu Kα X-rays.

Crystal structure
Lattice parameters (Å, degrees): 5.6983 5.6983 5.9182 90.00 90.00 120.00
Space group P6/mmm (No. 191)
Unique sites:
Na: 0.0000 0.0000 0.0000 (multiplicity 1)
Si: 0.0000 0.0000 0.5000 (multiplicity 1)
Si: 0.3333 0.6667 0.1956 (multiplicity 4)
Pt: 0.0000 0.5000 0.5000 (multiplicity 3)

Principal peaks in the range 5° ≤ 2θ ≤ 70°, most intense first:
| h k l | two_theta | I (rel.) |
| --- | --- | --- |
| 0 0 1 | 14.97 | 1000 |
| 2 0 1 | 39.57 | 686 |
| 2 0 2 | 48.01 | 499 |
| 2 0 0 | 36.41 | 392 |
| 1 0 0 | 17.97 | 269 |
| 1 0 1 | 23.47 | 203 |
| 0 0 2 | 30.20 | 190 |
| 2 0 3 | 60.04 | 164 |
| 1 1 1 | 34.95 | 137 |
| 2 2 0 | 65.52 | 120 |

Record 6
The following is a theoretical PXRD pattern of Nb3SiTe6. It was derived from DFT lattice parameters and positions (GGA-PBE), using Cu Kα X-rays.

Crystal structure
Lattice parameters (Å, degrees): 6.4144 14.6130 11.6258 90.00 90.00 90.00
Space group Pnma (No. 62)
Unique sites:
Nb: 0.0316 0.2500 0.1881 (multiplicity 4)
Nb: 0.1678 0.7500 0.3355 (multiplicity 4)
Nb: 0.1969 0.7500 0.0338 (multiplicity 4)
Si: 0.0751 0.7500 0.5747 (multiplicity 4)
Te: 0.1444 0.1251 0.9979 (multiplicity 8)
Te: 0.1504 0.1190 0.6829 (multiplicity 8)
Te: 0.2040 0.1217 0.3449 (multiplicity 8)

Principal peaks in the range 5° ≤ 2θ ≤ 70°, most intense first:
| h k l | two_theta | I (rel.) |
| --- | --- | --- |
| 1 3 3 | 32.66 | 1000 |
| 0 2 0 | 12.11 | 582 |
| 1 5 3 | 41.17 | 416 |
| 2 3 0 | 33.45 | 398 |
| 3 0 3 | 48.63 | 313 |
| 1 1 3 | 27.58 | 263 |
| 1 4 3 | 36.59 | 259 |
| 1 0 3 | 26.88 | 243 |
| 1 1 4 | 34.40 | 243 |
| 0 4 0 | 24.36 | 235 |